For Y2MnSbO7, a DFT-relaxed cell (PBE+U, Alexandria) gives the theoretical powder diffractogram in this record (λ = 1.5418 Å (Cu Kα)).
Neutral-atom scattering factors, no anomalous dispersion.

Structural model:
```
data_Y2MnSbO7
_cell_length_a 7.322
_cell_length_b 7.322
_cell_length_c 7.322
_cell_angle_alpha 121.62
_cell_angle_beta 118.49
_cell_angle_gamma 89.92
_space_group_name_H-M_alt 'P 1'
_space_group_IT_number 1
_space_group_name_Hall 'P 1'
loop_
_atom_site_label
_atom_site_fract_x
_atom_site_fract_y
_atom_site_fract_z
Y1 0.000 0.000 0.000
Y2 0.500 0.000 0.000
Y3 0.500 0.000 0.500
Y4 0.500 0.500 0.500
Mn1 0.000 0.000 0.500
Mn2 0.000 0.500 0.000
Sb1 0.000 0.500 0.500
Sb2 0.500 0.500 0.000
O1 0.082 0.832 0.250
O2 0.094 0.418 0.260
O3 0.094 0.833 0.676
O4 0.328 0.578 0.750
O5 0.342 0.167 0.760
O6 0.342 0.582 0.176
O7 0.373 0.123 0.250
O8 0.627 0.877 0.750
O9 0.658 0.418 0.824
O10 0.658 0.833 0.240
O11 0.672 0.422 0.250
O12 0.906 0.167 0.324
O13 0.906 0.582 0.740
O14 0.918 0.168 0.750
```

Principal peaks in the range 10 to 90 degrees two-theta, sorted by position:
- 2θ 29.4, intensity 100
- 2θ 30.4, intensity 93
- 2θ 34.7, intensity 50
- 2θ 48.6, intensity 19
- 2θ 49.8, intensity 65
- 2θ 51.2, intensity 15
- 2θ 58.4, intensity 27
- 2θ 58.9, intensity 13
- 2θ 59.5, intensity 13
- 2θ 60.1, intensity 25
- 2θ 80.3, intensity 10
- 2θ 81.7, intensity 14